# 1
Starting from a structure optimized by DFT (GGA-PBE), the powder diffractogram of Ti4Zn3Cd was computed for λ = 1.5418 Å (Cu Kα).
Lines closer than 0.1° are merged.

Cell and atoms:
Cell lengths 3.187, 4.547, 9.052 Å; angles 90.00, 90.00, 90.00 degrees
Atoms (fractional coordinates):
1 Ti 0.000 0.000 0.000
2 Ti 0.000 0.000 0.500
3 Ti 0.000 0.500 0.238
4 Ti 0.000 0.500 0.762
5 Zn 0.500 0.000 0.250
6 Zn 0.500 0.000 0.750
7 Zn 0.500 0.500 0.000
8 Cd 0.500 0.500 0.500

Principal peaks in the range 2θ from 10° to 90°, by angle:
| 2theta | I (rel.) |
| --- | --- |
| 27.8 | 8 |
| 28.0 | 4 |
| 39.6 | 20 |
| 39.9 | 100 |
| 57.5 | 13 |
| 57.9 | 6 |
| 72.1 | 12 |
| 72.4 | 18 |
| 72.5 | 6 |
| 86.0 | 9 |

# 2
Starting from a structure optimized by DFT (GGA-PBE), the powder diffractogram of Ti2CoRe was computed for λ = 1.5418 Å (Cu Kα).
Lines closer than 0.1° are merged.

Cell and atoms:
Cell lengths 4.288, 4.288, 3.095 Å; angles 90.00, 90.00, 90.00 degrees
Atoms (fractional coordinates):
1 Ti 0.000 0.500 0.000
2 Ti 0.500 0.000 0.000
3 Co 0.000 0.000 0.500
4 Re 0.500 0.500 0.500

Principal peaks in the range 2θ from 10° to 90°, by angle:
| 2theta | I (rel.) |
| --- | --- |
| 20.7 | 38 |
| 28.8 | 13 |
| 29.5 | 25 |
| 35.8 | 20 |
| 41.7 | 100 |
| 42.1 | 48 |
| 56.4 | 11 |
| 61.1 | 16 |
| 75.8 | 16 |
| 76.7 | 31 |

# 3
Starting from a structure optimized by DFT (GGA-PBE), the powder diffractogram of HgH2C2O6 was computed for λ = 1.5418 Å (Cu Kα).
Lines closer than 0.1° are merged.

Cell and atoms:
Cell lengths 4.145, 5.072, 6.930 Å; angles 80.83, 83.80, 69.29 degrees
Atoms (fractional coordinates):
1 Hg 0.000 0.000 0.000
2 H 0.246 0.686 0.501
3 H 0.754 0.314 0.499
4 C 0.498 0.345 0.269
5 C 0.502 0.655 0.731
6 O 0.234 0.785 0.622
7 O 0.250 0.561 0.310
8 O 0.495 0.769 0.890
9 O 0.505 0.231 0.110
10 O 0.750 0.439 0.690
11 O 0.766 0.215 0.378

Principal peaks in the range 2θ from 10° to 90°, by angle:
| 2theta | I (rel.) |
| --- | --- |
| 13.0 | 93 |
| 18.9 | 33 |
| 21.5 | 23 |
| 23.0 | 16 |
| 24.3 | 100 |
| 25.8 | 52 |
| 27.1 | 18 |
| 30.3 | 22 |
| 34.4 | 17 |
| 41.8 | 17 |

# 4
Starting from a structure optimized by DFT (GGA-PBE), the powder diffractogram of KZnCuCl4 was computed for λ = 1.5418 Å (Cu Kα).
Lines closer than 0.1° are merged.

Cell and atoms:
Cell lengths 6.158, 9.334, 8.026 Å; angles 90.00, 100.16, 90.00 degrees
Atoms (fractional coordinates):
1 K 0.131 0.250 0.125
2 K 0.869 0.750 0.875
3 Zn 0.301 0.750 0.248
4 Zn 0.699 0.250 0.752
5 Cu 0.165 0.250 0.654
6 Cu 0.835 0.750 0.346
7 Cl 0.041 0.568 0.256
8 Cl 0.041 0.932 0.256
9 Cl 0.407 0.750 0.995
10 Cl 0.436 0.250 0.512
11 Cl 0.564 0.750 0.488
12 Cl 0.593 0.250 0.005
13 Cl 0.959 0.068 0.744
14 Cl 0.959 0.432 0.744

Principal peaks in the range 2θ from 10° to 90°, by angle:
| 2theta | I (rel.) |
| --- | --- |
| 14.7 | 100 |
| 19.0 | 66 |
| 24.5 | 22 |
| 29.1 | 24 |
| 31.0 | 17 |
| 33.4 | 12 |
| 38.6 | 14 |
| 39.2 | 28 |
| 41.6 | 13 |
| 44.7 | 11 |

# 5
Starting from a structure optimized by DFT (GGA-PBE), the powder diffractogram of Mn3FeTe6 was computed for λ = 1.5418 Å (Cu Kα).
Lines closer than 0.1° are merged.

Cell and atoms:
Cell lengths 6.932, 6.932, 6.932 Å; angles 59.50, 59.50, 59.50 degrees
Atoms (fractional coordinates):
1 Mn 0.000 0.000 0.000
2 Mn 0.167 0.167 0.167
3 Mn 0.501 0.501 0.501
4 Fe 0.662 0.662 0.662
5 Te 0.074 0.424 0.749
6 Te 0.253 0.918 0.583
7 Te 0.424 0.749 0.074
8 Te 0.583 0.253 0.918
9 Te 0.749 0.074 0.424
10 Te 0.918 0.583 0.253

Principal peaks in the range 2θ from 10° to 90°, by angle:
| 2theta | I (rel.) |
| --- | --- |
| 30.4 | 100 |
| 31.5 | 10 |
| 41.2 | 37 |
| 45.7 | 36 |
| 55.4 | 18 |
| 55.9 | 18 |
| 56.5 | 11 |
| 63.2 | 10 |
| 74.9 | 14 |
| 83.7 | 12 |

# 6
Starting from a structure optimized by DFT (GGA-PBE), the powder diffractogram of MgH3Ir4 was computed for λ = 1.5418 Å (Cu Kα).
Lines closer than 0.1° are merged.

Cell and atoms:
Cell lengths 5.355, 5.355, 5.355 Å; angles 53.18, 53.18, 53.18 degrees
Atoms (fractional coordinates):
1 Mg 0.000 0.000 0.000
2 H 0.357 0.990 0.487
3 H 0.487 0.357 0.990
4 H 0.990 0.487 0.357
5 Ir 0.164 0.799 0.518
6 Ir 0.518 0.164 0.799
7 Ir 0.669 0.669 0.669
8 Ir 0.799 0.518 0.164

Principal peaks in the range 2θ from 10° to 90°, by angle:
| 2theta | I (rel.) |
| --- | --- |
| 19.4 | 33 |
| 22.4 | 29 |
| 37.5 | 35 |
| 39.3 | 34 |
| 42.6 | 100 |
| 55.5 | 24 |
| 67.7 | 15 |
| 73.5 | 20 |
| 81.2 | 18 |
| 83.4 | 15 |

# 7
Starting from a structure optimized by DFT (GGA-PBE), the powder diffractogram of Pm3Nd6Sm2Cd was computed for λ = 1.5418 Å (Cu Kα).
Lines closer than 0.1° are merged.

Cell and atoms:
Cell lengths 6.283, 6.283, 11.954 Å; angles 95.07, 95.07, 120.08 degrees
Atoms (fractional coordinates):
1 Pm 0.000 0.000 0.000
2 Pm 0.333 0.667 0.000
3 Pm 0.667 0.333 0.000
4 Nd 0.091 0.419 0.254
5 Nd 0.253 0.253 0.748
6 Nd 0.419 0.091 0.254
7 Nd 0.581 0.909 0.746
8 Nd 0.747 0.747 0.252
9 Nd 0.909 0.581 0.746
10 Sm 0.167 0.833 0.500
11 Sm 0.833 0.167 0.500
12 Cd 0.500 0.500 0.500

Principal peaks in the range 2θ from 10° to 90°, by angle:
| 2theta | I (rel.) |
| --- | --- |
| 30.2 | 100 |
| 30.4 | 33 |
| 35.1 | 67 |
| 50.3 | 24 |
| 50.6 | 24 |
| 59.8 | 10 |
| 59.9 | 24 |
| 60.0 | 9 |
| 60.1 | 9 |
| 62.8 | 12 |

# 8
Starting from a structure optimized by DFT (GGA-PBE), the powder diffractogram of Mn2BeFe was computed for λ = 1.5418 Å (Cu Kα).
Lines closer than 0.1° are merged.

Cell and atoms:
Cell lengths 2.445, 3.574, 4.557 Å; angles 90.00, 90.00, 90.00 degrees
Atoms (fractional coordinates):
1 Mn 0.000 0.000 0.230
2 Mn 0.000 0.000 0.770
3 Be 0.500 0.500 0.000
4 Fe 0.500 0.500 0.500

Principal peaks in the range 2θ from 10° to 90°, by angle:
| 2theta | I (rel.) |
| --- | --- |
| 19.5 | 22 |
| 24.9 | 18 |
| 31.8 | 39 |
| 41.9 | 18 |
| 44.9 | 100 |
| 47.3 | 81 |
| 51.1 | 33 |
| 55.1 | 50 |
| 78.5 | 32 |
| 78.9 | 9 |